(1)
For LaSm5Al3, a cell relaxed with GGA-PBE gives the calculated powder diffraction line list in this record (Cu Kα X-rays).
Kinematic intensities with the Lorentz-polarization factor, no thermal factor.

Top 10 peaks for 2θ from 10° to 90°, by angle:
d (Å)  2theta  Rel. int.
3.838  23.17  48
2.750  32.56  100
2.679  33.44  88
2.197  41.08  11
1.919  47.37  35
1.560  59.22  36
1.547  59.78  17
1.440  64.75  26
1.204  79.59  15
1.146  84.53  13

Cell and atoms:
abc: 9.2820 9.2820 6.8278
angles: 90.00 90.00 120.00
Space group P6_3/mcm (No. 193)
Unique sites:
La  0.0000  0.0000  0.0000
Sm  0.0000  0.3305  0.2500
Sm  0.3333  0.6667  0.0000
Al  0.0000  0.3395  0.7500

***

(2)
For Ga, a cell relaxed with GGA-PBE gives the calculated powder diffraction line list in this record (Cu Kα X-rays).
Kinematic intensities with the Lorentz-polarization factor, no thermal factor.

Top 10 peaks for 2θ from 10° to 90°, by angle:
d (Å)  2theta  Rel. int.
8.161  10.84  100
3.778  23.55  43
3.161  28.23  26
3.085  28.95  40
2.293  39.29  13
2.263  39.83  17
2.131  42.41  22
2.062  43.91  47
1.999  45.37  67
1.753  52.17  15

Cell and atoms:
abc: 9.4235 9.4235 4.2623
angles: 90.00 90.00 120.00
Space group P6_3/m (No. 176)
Unique sites:
Ga  0.0167  0.6180  0.2500
Ga  0.1895  0.7112  0.7500

***

(3)
For TaTl2Se5, a cell relaxed with GGA-PBE gives the calculated powder diffraction line list in this record (Cu Kα X-rays).
Kinematic intensities with the Lorentz-polarization factor, no thermal factor.

Top 10 peaks for 2θ from 10° to 90°, by angle:
d (Å)  2theta  Rel. int.
6.809  13.00  33
6.614  13.39  26
5.208  17.02  20
3.783  23.51  100
3.404  26.18  35
3.158  28.26  18
2.541  35.32  27
2.306  39.06  44
2.255  39.99  26
1.988  45.64  34

Cell and atoms:
abc: 5.6661 7.9411 13.2286
angles: 90.00 90.00 90.00
Space group Imm2 (No. 44)
Unique sites:
Ta  0.0000  0.0000  0.0000
Tl  0.0000  0.5000  0.2597
Tl  0.0000  0.5000  0.7856
Se  0.0000  0.0000  0.1801
Se  0.2334  0.2669  0.4367

***

(4)
For Li2Ho3Sn4, a cell relaxed with GGA-PBE gives the calculated powder diffraction line list in this record (Cu Kα X-rays).
Kinematic intensities with the Lorentz-polarization factor, no thermal factor.

Top 10 peaks for 2θ from 10° to 90°, by angle:
d (Å)  2theta  Rel. int.
2.912  30.70  71
2.881  31.05  33
2.858  31.30  26
2.817  31.77  77
2.767  32.35  100
2.758  32.47  35
2.299  39.19  58
2.274  39.63  48
1.972  46.03  25
1.755  52.10  27

Cell and atoms:
abc: 11.4335 4.5484 8.7895
angles: 90.00 109.73 90.00
Space group C2/m (No. 12)
Unique sites:
Li  0.1855  0.0000  0.3647
Ho  0.0000  0.5000  0.0000
Ho  0.1326  0.0000  0.6875
Sn  0.0757  0.5000  0.3885
Sn  0.2032  0.0000  0.0727

***

(5)
For AgSe, a cell relaxed with GGA-PBE gives the calculated powder diffraction line list in this record (Cu Kα X-rays).
Kinematic intensities with the Lorentz-polarization factor, no thermal factor.

Top 10 peaks for 2θ from 10° to 90°, by angle:
d (Å)  2theta  Rel. int.
3.446  25.85  100
2.984  29.94  3
2.110  42.85  73
1.800  50.73  45
1.723  53.16  1
1.492  62.21  12
1.369  68.53  18
1.335  70.57  1
1.218  78.51  24
1.149  84.31  14

Cell and atoms:
abc: 5.9688 5.9688 5.9688
angles: 90.00 90.00 90.00
Space group F-43m (No. 216)
Unique sites:
Ag  0.0000  0.0000  0.0000
Se  0.2500  0.2500  0.7500

***

(6)
For SrEu2Er, a cell relaxed with GGA-PBE gives the calculated powder diffraction line list in this record (Cu Kα X-rays).
Kinematic intensities with the Lorentz-polarization factor, no thermal factor.

Top 10 peaks for 2θ from 10° to 90°, by angle:
d (Å)  2theta  Rel. int.
3.145  28.37  100
2.914  30.68  46
2.550  35.20  15
2.434  36.93  9
2.061  43.94  17
1.868  48.74  16
1.724  53.14  35
1.573  58.70  9
1.303  72.54  8
1.113  87.71  9

Cell and atoms:
abc: 4.1211 4.1211 9.7369
angles: 90.00 90.00 90.00
Space group P4/mmm (No. 123)
Unique sites:
Sr  0.0000  0.0000  0.0000
Eu  0.5000  0.5000  0.2863
Er  0.0000  0.0000  0.5000